Starting from a structure optimized by DFT (PBE), the powder X-ray diffraction pattern of DyErCuPt was simulated for a wavelength of 1.5418 Å.
No peak broadening, texture or thermal motion is included.

Atomic structure:
abc: 6.9304 6.9304 6.9304
angles: 90.00 90.00 90.00
Space group F-43m (No. 216)
Asymmetric unit:
1 Dy 0.0000 0.0000 0.0000
2 Er 0.0000 0.0000 0.5000
3 Cu 0.2500 0.2500 0.2500
4 Pt 0.2500 0.2500 0.7500

Most intense lines, 2θ = 15–90°, by angle:
- 4.001 Å, 2θ = 22.2°, I = 10
- 2.450 Å, 2θ = 36.7°, I = 100
- 2.090 Å, 2θ = 43.3°, I = 6
- 1.733 Å, 2θ = 52.8°, I = 18
- 1.590 Å, 2θ = 58.0°, I = 2
- 1.415 Å, 2θ = 66.0°, I = 36
- 1.334 Å, 2θ = 70.6°, I = 2
- 1.225 Å, 2θ = 78.0°, I = 11
- 1.171 Å, 2θ = 82.3°, I = 2
- 1.096 Å, 2θ = 89.4°, I = 16

Starting from a structure optimized by DFT (PBE), the powder X-ray diffraction pattern of Ti2Fe3Co was simulated for a wavelength of 1.5418 Å.
No peak broadening, texture or thermal motion is included.

Atomic structure:
abc: 4.7471 4.7471 11.7282
angles: 90.00 90.00 120.00
Space group R-3m (No. 166, hexagonal axes)
Asymmetric unit:
1 Ti 0.0000 0.0000 0.1250
2 Fe 0.0000 0.5000 0.0000
3 Co 0.0000 0.0000 0.5000

Most intense lines, 2θ = 15–90°, by angle:
- 3.880 Å, 2θ = 22.9°, I = 17
- 2.374 Å, 2θ = 37.9°, I = 15
- 2.037 Å, 2θ = 44.5°, I = 35
- 2.028 Å, 2θ = 44.7°, I = 100
- 1.955 Å, 2θ = 46.5°, I = 16
- 1.940 Å, 2θ = 46.8°, I = 48
- 1.295 Å, 2θ = 73.0°, I = 14
- 1.293 Å, 2θ = 73.2°, I = 14
- 1.194 Å, 2θ = 80.5°, I = 16
- 1.187 Å, 2θ = 81.0°, I = 16

Starting from a structure optimized by DFT (PBE), the powder X-ray diffraction pattern of Ta2Nb5Mo4 was simulated for a wavelength of 1.5418 Å.
No peak broadening, texture or thermal motion is included.

Atomic structure:
abc: 3.2395 7.3156 8.4602
angles: 105.63 101.00 90.02
Space group P-1 (No. 2)
Asymmetric unit:
1 Ta 0.0893 0.4502 0.1757
2 Nb 0.0000 0.0000 0.0000
3 Nb 0.1743 0.9084 0.3554
4 Nb 0.2668 0.3587 0.5377
5 Mo 0.3656 0.8181 0.7282
6 Mo 0.4559 0.2731 0.9084

Most intense lines, 2θ = 15–90°, by angle:
- 2.319 Å, 2θ = 38.8°, I = 26
- 2.297 Å, 2θ = 39.2°, I = 100
- 2.290 Å, 2θ = 39.3°, I = 25
- 1.633 Å, 2θ = 56.4°, I = 8
- 1.626 Å, 2θ = 56.6°, I = 8
- 1.620 Å, 2θ = 56.8°, I = 8
- 1.336 Å, 2θ = 70.5°, I = 9
- 1.333 Å, 2θ = 70.6°, I = 9
- 1.328 Å, 2θ = 71.0°, I = 8
- 1.322 Å, 2θ = 71.3°, I = 16

Starting from a structure optimized by DFT (PBE), the powder X-ray diffraction pattern of ReTc2 was simulated for a wavelength of 1.5418 Å.
No peak broadening, texture or thermal motion is included.

Atomic structure:
abc: 2.7643 14.3678 4.4415
angles: 90.00 90.00 90.00
Space group Cmcm (No. 63)
Asymmetric unit:
1 Re 0.0000 0.2217 0.2500
2 Tc 0.0000 0.1102 0.7500
3 Tc 0.0000 0.4447 0.7500

Most intense lines, 2θ = 15–90°, by angle:
- 2.394 Å, 2θ = 37.6°, I = 24
- 2.316 Å, 2θ = 38.9°, I = 5
- 2.221 Å, 2θ = 40.6°, I = 26
- 2.108 Å, 2θ = 42.9°, I = 100
- 1.628 Å, 2θ = 56.5°, I = 15
- 1.382 Å, 2θ = 67.8°, I = 17
- 1.259 Å, 2θ = 75.5°, I = 19
- 1.174 Å, 2θ = 82.1°, I = 20
- 1.156 Å, 2θ = 83.7°, I = 14
- 1.110 Å, 2θ = 87.9°, I = 3

Repeat the second record exactly.
Starting from a structure optimized by DFT (PBE), the powder X-ray diffraction pattern of Ti2Fe3Co was simulated for a wavelength of 1.5418 Å.
No peak broadening, texture or thermal motion is included.

Atomic structure:
abc: 4.7471 4.7471 11.7282
angles: 90.00 90.00 120.00
Space group R-3m (No. 166, hexagonal axes)
Asymmetric unit:
1 Ti 0.0000 0.0000 0.1250
2 Fe 0.0000 0.5000 0.0000
3 Co 0.0000 0.0000 0.5000

Most intense lines, 2θ = 15–90°, by angle:
- 3.880 Å, 2θ = 22.9°, I = 17
- 2.374 Å, 2θ = 37.9°, I = 15
- 2.037 Å, 2θ = 44.5°, I = 35
- 2.028 Å, 2θ = 44.7°, I = 100
- 1.955 Å, 2θ = 46.5°, I = 16
- 1.940 Å, 2θ = 46.8°, I = 48
- 1.295 Å, 2θ = 73.0°, I = 14
- 1.293 Å, 2θ = 73.2°, I = 14
- 1.194 Å, 2θ = 80.5°, I = 16
- 1.187 Å, 2θ = 81.0°, I = 16